Calculated powder diffraction line list
Compound: Ca7In2Au2
Radiation: CuKα
Structure: the PBE geometry in Alexandria
Intensities are scaled so that the largest is 100.

Top 12 peaks for 2θ = 15–90°, by angle:
| two_theta | I_rel |
| --- | --- |
| 17.6 | 27.1 |
| 19.3 | 100.0 |
| 23.7 | 20.1 |
| 24.3 | 76.7 |
| 25.3 | 24.3 |
| 30.8 | 32.5 |
| 35.0 | 47.4 |
| 35.6 | 77.6 |
| 39.2 | 25.1 |
| 39.6 | 18.3 |
| 41.6 | 33.6 |
| 42.1 | 36.1 |

Atomic structure:
abc: 7.166 7.166 7.510
angles: 90.00 90.00 108.32
Fractional coordinates of all 11 atoms:
Ca1 0.000 0.000 0.000
Ca2 0.000 0.500 0.265
Ca3 0.000 0.500 0.735
Ca4 0.500 0.000 0.265
Ca5 0.500 0.000 0.735
Ca6 0.500 0.500 0.248
Ca7 0.500 0.500 0.752
In1 0.173 0.173 0.500
In2 0.827 0.827 0.500
Au1 0.292 0.708 0.000
Au2 0.708 0.292 0.000